For Sc2ZnSe4, a DFT-relaxed cell (PBE, the Materials Project) gives the calculated X-ray diffraction stick pattern in this record (Cu Kα (λ = 1.5418 Å)).
Lines closer than 0.1° are merged.

Cell lengths 7.828, 7.828, 7.828 Å; angles 60.00, 60.00, 60.00 degrees
Sites, in units of the cell vectors:
Sc1 0.000 0.000 0.000
Sc2 0.000 0.000 0.500
Sc3 0.000 0.500 0.000
Sc4 0.500 0.000 0.000
Zn1 0.375 0.375 0.375
Zn2 0.625 0.625 0.625
Se1 0.236 0.755 0.755
Se2 0.245 0.245 0.245
Se3 0.245 0.245 0.764
Se4 0.245 0.764 0.245
Se5 0.755 0.236 0.755
Se6 0.755 0.755 0.236
Se7 0.755 0.755 0.755
Se8 0.764 0.245 0.245

Most intense lines, 10° ≤ 2θ ≤ 90°, sorted by position:
22.72°, intensity 16
26.71°, intensity 35
27.92°, intensity 63
32.35°, intensity 70
42.43°, intensity 20
46.40°, intensity 100
55.03°, intensity 28
57.70°, intensity 16
77.05°, intensity 20
86.05°, intensity 31

***

For BaYF5, a DFT-relaxed cell (PBE, the Materials Project) gives the calculated X-ray diffraction stick pattern in this record (Cu Kα (λ = 1.5418 Å)).
Lines closer than 0.1° are merged.

Cell lengths 6.419, 6.419, 8.702 Å; angles 110.40, 110.40, 71.50 degrees
Sites, in units of the cell vectors:
Ba1 0.042 0.958 0.750
Ba2 0.958 0.042 0.250
Y1 0.500 0.500 0.000
Y2 0.500 0.500 0.500
F1 0.197 0.780 0.027
F2 0.220 0.803 0.473
F3 0.250 0.295 0.381
F4 0.295 0.250 0.881
F5 0.426 0.574 0.750
F6 0.574 0.426 0.250
F7 0.705 0.750 0.119
F8 0.750 0.705 0.619
F9 0.780 0.197 0.527
F10 0.803 0.220 0.973

Most intense lines, 10° ≤ 2θ ≤ 90°, sorted by position:
18.86°, intensity 67
23.67°, intensity 100
30.24°, intensity 16
30.48°, intensity 14
30.59°, intensity 15
38.27°, intensity 18
41.51°, intensity 13
41.66°, intensity 16
45.72°, intensity 16
48.37°, intensity 12

***

For CuMoS4N, a DFT-relaxed cell (PBE, the Materials Project) gives the calculated X-ray diffraction stick pattern in this record (Cu Kα (λ = 1.5418 Å)).
Lines closer than 0.1° are merged.

Cell lengths 6.437, 6.437, 6.437 Å; angles 100.40, 100.40, 129.70 degrees
Sites, in units of the cell vectors:
Cu1 0.000 0.000 0.000
Mo1 0.500 0.500 0.000
S1 0.152 0.449 0.080
S2 0.368 0.071 0.920
S3 0.551 0.632 0.703
S4 0.929 0.848 0.297
N1 0.750 0.250 0.500

Most intense lines, 10° ≤ 2θ ≤ 90°, sorted by position:
15.21°, intensity 100
21.57°, intensity 25
29.22°, intensity 27
30.69°, intensity 13
34.42°, intensity 10
36.28°, intensity 13
39.55°, intensity 17
45.49°, intensity 10
48.23°, intensity 31
49.47°, intensity 13

***

For LiMnPd2, a DFT-relaxed cell (PBE, the Materials Project) gives the calculated X-ray diffraction stick pattern in this record (Cu Kα (λ = 1.5418 Å)).
Lines closer than 0.1° are merged.

Cell lengths 4.336, 4.336, 4.336 Å; angles 60.00, 60.00, 60.00 degrees
Sites, in units of the cell vectors:
Li1 0.000 0.000 0.000
Mn1 0.500 0.500 0.500
Pd1 0.250 0.250 0.250
Pd2 0.750 0.750 0.750

Most intense lines, 10° ≤ 2θ ≤ 90°, sorted by position:
25.16°, intensity 9
29.13°, intensity 42
41.66°, intensity 100
49.29°, intensity 4
51.64°, intensity 11
60.38°, intensity 16
66.46°, intensity 1
68.42°, intensity 15
76.04°, intensity 32
81.58°, intensity 1